Diffraction record for NaAc3Co2O8. The powder XRD pattern is simulated, not measured: it uses a GGA+U-relaxed structure and CuKα.

Largest 10 diffraction maxima, sorted by position, 10° ≤ 2θ ≤ 90°:
21.66 deg, 4.103 Å, rel. 84, hkl 1 0 1; 30.34 deg, 2.946 Å, rel. 86, hkl 0 1 2; 31.30 deg, 2.858 Å, rel. 100, hkl 1 1 0; 38.39 deg, 2.345 Å, rel. 32, hkl 0 2 1; 44.15 deg, 2.051 Å, rel. 42, hkl 2 0 2; 49.04 deg, 1.857 Å, rel. 18, hkl 1 1 3; 50.34 deg, 1.813 Å, rel. 20, hkl 2 1 1; 53.29 deg, 1.719 Å, rel. 18, hkl 1 0 4; 55.11 deg, 1.666 Å, rel. 34, hkl 1 2 2; 55.71 deg, 1.650 Å, rel. 20, hkl 3 0 0

Structural model:
Unit cell a=5.716 b=5.716 c=7.333 alpha=90.00 beta=90.00 gamma=120.00
Sites, in units of the cell vectors:
Na 0.000 0.000 0.000
Ac 0.000 0.000 0.500
Ac 0.333 0.667 0.137
Ac 0.667 0.333 0.863
Co 0.333 0.667 0.689
Co 0.667 0.333 0.311
O 0.167 0.334 0.801
O 0.167 0.833 0.801
O 0.333 0.667 0.442
O 0.334 0.167 0.199
O 0.666 0.833 0.801
O 0.667 0.333 0.558
O 0.833 0.167 0.199
O 0.833 0.666 0.199